Record 1
# TbHoAl4
Computed X-ray diffraction stick pattern, Cu Kα. Input: a DFT-relaxed cell (GGA-PBE, OQMD).

Atomic structure:
```
data_TbHoAl4
_symmetry_space_group_name_H-M 'A m m 2'
_symmetry_Int_Tables_number 38
_cell_length_a 4.3177
_cell_length_b 4.3440
_cell_length_c 13.4235
_cell_angle_alpha 90.00
_cell_angle_beta 90.00
_cell_angle_gamma 90.00
loop_
_symmetry_equiv_pos_as_xyz
'x,y,z'
'-x,-y,z'
'-x,y,z'
'x,-y,z'
'x,y+1/2,z+1/2'
'-x,-y+1/2,z+1/2'
'-x,y+1/2,z+1/2'
'x,-y+1/2,z+1/2'
loop_
_atom_site_label
_atom_site_fract_x
_atom_site_fract_y
_atom_site_fract_z
_atom_site_occupancy
Tb1 0.0000 0.0000 0.0000 1
Ho1 0.0000 0.0000 0.3096 1
Al1 0.0000 0.0000 0.6556 1
Al2 0.5000 0.0000 0.1555 1
Al3 0.5000 0.0000 0.4894 1
Al4 0.5000 0.0000 0.8173 1
```

Peak list (10 most intense, 2θ = 15–90°, in order of falling intensity)
- 2θ 35.52, d = 2.527 Å, I = 100
- 2θ 20.57, d = 4.318 Å, I = 39
- 2θ 28.64, d = 3.117 Å, I = 33
- 2θ 21.50, d = 4.133 Å, I = 23
- 2θ 29.93, d = 2.986 Å, I = 21
- 2θ 41.58, d = 2.172 Å, I = 17
- 2θ 41.84, d = 2.159 Å, I = 16
- 2θ 40.31, d = 2.237 Å, I = 16
- 2θ 33.83, d = 2.650 Å, I = 13
- 2θ 51.49, d = 1.775 Å, I = 13

***

Record 2
# TbHoAlTe3
Computed X-ray diffraction stick pattern, Cu Kα. Input: a DFT-relaxed cell (GGA-PBE, OQMD).

Atomic structure:
```
data_TbHoAlTe3
_symmetry_space_group_name_H-M 'C m c m'
_symmetry_Int_Tables_number 63
_symmetry_space_group_name_Hall '-C 2c 2'
_cell_length_a 4.0781
_cell_length_b 15.3729
_cell_length_c 10.4645
_cell_angle_alpha 90.00
_cell_angle_beta 90.00
_cell_angle_gamma 90.00
loop_
_atom_site_label
_atom_site_fract_x
_atom_site_fract_y
_atom_site_fract_z
_atom_site_occupancy
Tb1 0.0000 0.0000 0.0000 1
Ho1 0.0000 0.2189 0.2500 1
Al1 0.0000 0.4770 0.7500 1
Te1 0.0000 0.1233 0.7500 1
Te2 0.0000 0.3471 0.5488 1
```

Peak list (10 most intense, 2θ = 15–90°, in order of falling intensity)
- 2θ 32.88, d = 2.724 Å, I = 100
- 2θ 34.30, d = 2.615 Å, I = 38
- 2θ 29.26, d = 3.052 Å, I = 29
- 2θ 20.53, d = 4.325 Å, I = 23
- 2θ 44.43, d = 2.039 Å, I = 18
- 2θ 39.15, d = 2.301 Å, I = 15
- 2θ 58.57, d = 1.576 Å, I = 15
- 2θ 28.09, d = 3.176 Å, I = 14
- 2θ 37.63, d = 2.390 Å, I = 12
- 2θ 43.84, d = 2.065 Å, I = 11

***

Record 3
# Ho2Tm5Al
Computed X-ray diffraction stick pattern, Cu Kα. Input: a DFT-relaxed cell (GGA-PBE, OQMD).

Atomic structure:
```
data_Ho2Tm5Al
_symmetry_space_group_name_H-M 'A m m 2'
_symmetry_Int_Tables_number 38
_cell_length_a 5.4501
_cell_length_b 6.9517
_cell_length_c 12.0337
_cell_angle_alpha 90.00
_cell_angle_beta 90.00
_cell_angle_gamma 90.00
loop_
_symmetry_equiv_pos_as_xyz
'x,y,z'
'-x,-y,z'
'-x,y,z'
'x,-y,z'
'x,y+1/2,z+1/2'
'-x,-y+1/2,z+1/2'
'-x,y+1/2,z+1/2'
'x,-y+1/2,z+1/2'
loop_
_atom_site_label
_atom_site_fract_x
_atom_site_fract_y
_atom_site_fract_z
_atom_site_occupancy
Ho1 0.0000 0.0000 0.0000 1
Ho2 0.5000 0.0000 0.3413 1
Tm1 0.0000 0.2447 0.7549 1
Tm2 0.5000 0.0000 0.8356 1
Tm3 0.5000 0.2446 0.5851 1
Al1 0.0000 0.0000 0.5056 1
```

Peak list (10 most intense, 2θ = 15–90°, in order of falling intensity)
- 2θ 34.03, d = 2.634 Å, I = 100
- 2θ 29.69, d = 3.009 Å, I = 25
- 2θ 32.87, d = 2.725 Å, I = 24
- 2θ 63.50, d = 1.465 Å, I = 22
- 2θ 59.43, d = 1.555 Å, I = 20
- 2θ 52.68, d = 1.737 Å, I = 20
- 2θ 44.87, d = 2.020 Å, I = 16
- 2θ 64.22, d = 1.450 Å, I = 16
- 2θ 87.64, d = 1.113 Å, I = 14
- 2θ 83.41, d = 1.159 Å, I = 8

***

Record 4
# HoTmAl
Computed X-ray diffraction stick pattern, Cu Kα. Input: a DFT-relaxed cell (GGA-PBE, OQMD).

Atomic structure:
```
data_HoTmAl
_symmetry_space_group_name_H-M 'P n m a'
_symmetry_Int_Tables_number 62
_cell_length_a 6.5004
_cell_length_b 5.0490
_cell_length_c 9.3632
_cell_angle_alpha 90.00
_cell_angle_beta 90.00
_cell_angle_gamma 90.00
loop_
_symmetry_equiv_pos_as_xyz
'x,y,z'
'-x,-y,-z'
'-x+1/2,-y,z+1/2'
'x+1/2,y,-z+1/2'
'x+1/2,-y+1/2,-z+1/2'
'-x+1/2,y+1/2,z+1/2'
'-x,y+1/2,-z'
'x,-y+1/2,z'
loop_
_atom_site_label
_atom_site_fract_x
_atom_site_fract_y
_atom_site_fract_z
_atom_site_occupancy
Ho1 0.1863 0.2500 0.0718 1
Tm1 0.0281 0.2500 0.7107 1
Al1 0.2073 0.2500 0.3965 1
```

Peak list (10 most intense, 2θ = 15–90°, in order of falling intensity)
- 2θ 33.76, d = 2.655 Å, I = 100
- 2θ 34.18, d = 2.623 Å, I = 95
- 2θ 35.56, d = 2.524 Å, I = 59
- 2θ 24.26, d = 3.669 Å, I = 55
- 2θ 33.57, d = 2.670 Å, I = 50
- 2θ 29.42, d = 3.036 Å, I = 44
- 2θ 32.77, d = 2.733 Å, I = 41
- 2θ 61.09, d = 1.517 Å, I = 35
- 2θ 49.71, d = 1.834 Å, I = 34
- 2θ 23.42, d = 3.799 Å, I = 30

***

Record 5
# Y3Ho2Al3
Computed X-ray diffraction stick pattern, Cu Kα. Input: a DFT-relaxed cell (GGA-PBE, OQMD).

Atomic structure:
```
data_Y3Ho2Al3
_symmetry_space_group_name_H-M 'P 1 m 1'
_symmetry_Int_Tables_number 6
_cell_length_a 6.4964
_cell_length_b 4.9679
_cell_length_c 6.5455
_cell_angle_alpha 90.00
_cell_angle_beta 103.19
_cell_angle_gamma 90.00
loop_
_symmetry_equiv_pos_as_xyz
'x,y,z'
'x,-y,z'
loop_
_atom_site_label
_atom_site_fract_x
_atom_site_fract_y
_atom_site_fract_z
_atom_site_occupancy
Y1 0.0000 0.0000 0.0000 1
Y2 0.0122 0.0000 0.5037 1
Y3 0.7071 0.5000 0.7166 1
Ho1 0.2932 0.5000 0.2846 1
Ho2 0.5007 0.0000 0.0024 1
Al1 0.2147 0.5000 0.7854 1
Al2 0.5084 0.0000 0.4986 1
Al3 0.7876 0.5000 0.2207 1
```

Peak list (10 most intense, 2θ = 15–90°, in order of falling intensity)
- 2θ 33.41, d = 2.682 Å, I = 100
- 2θ 33.59, d = 2.668 Å, I = 94
- 2θ 25.00, d = 3.562 Å, I = 56
- 2θ 35.12, d = 2.555 Å, I = 44
- 2θ 36.16, d = 2.484 Å, I = 44
- 2θ 21.94, d = 4.051 Å, I = 32
- 2θ 51.30, d = 1.781 Å, I = 30
- 2θ 22.70, d = 3.916 Å, I = 26
- 2θ 44.74, d = 2.025 Å, I = 17
- 2θ 63.30, d = 1.469 Å, I = 17

***

What did the second record say?
# TbHoAlTe3
Computed X-ray diffraction stick pattern, Cu Kα. Input: a DFT-relaxed cell (GGA-PBE, OQMD).

Atomic structure:
```
data_TbHoAlTe3
_symmetry_space_group_name_H-M 'C m c m'
_symmetry_Int_Tables_number 63
_symmetry_space_group_name_Hall '-C 2c 2'
_cell_length_a 4.0781
_cell_length_b 15.3729
_cell_length_c 10.4645
_cell_angle_alpha 90.00
_cell_angle_beta 90.00
_cell_angle_gamma 90.00
loop_
_atom_site_label
_atom_site_fract_x
_atom_site_fract_y
_atom_site_fract_z
_atom_site_occupancy
Tb1 0.0000 0.0000 0.0000 1
Ho1 0.0000 0.2189 0.2500 1
Al1 0.0000 0.4770 0.7500 1
Te1 0.0000 0.1233 0.7500 1
Te2 0.0000 0.3471 0.5488 1
```

Peak list (10 most intense, 2θ = 15–90°, in order of falling intensity)
- 2θ 32.88, d = 2.724 Å, I = 100
- 2θ 34.30, d = 2.615 Å, I = 38
- 2θ 29.26, d = 3.052 Å, I = 29
- 2θ 20.53, d = 4.325 Å, I = 23
- 2θ 44.43, d = 2.039 Å, I = 18
- 2θ 39.15, d = 2.301 Å, I = 15
- 2θ 58.57, d = 1.576 Å, I = 15
- 2θ 28.09, d = 3.176 Å, I = 14
- 2θ 37.63, d = 2.390 Å, I = 12
- 2θ 43.84, d = 2.065 Å, I = 11